1.
Structure and computed PXRD pattern of HfAl4Cu (the GGA-PBE geometry in Alexandria; CuKα).
Lines closer than 0.1° are merged.

Structural model:
```
12
Lattice="3.8910 0.0000 0.0000 0.0000 6.7388 0.0000 -1.9353 0.0000 7.5088" Properties=species:S:1:pos:R:3 pbc="T T T"
Hf -0.0073 1.6847 1.7447
Hf 1.9630 5.0541 5.7641
Al -0.0004 5.0541 1.0959
Al 0.0048 0.3639 4.7913
Al 0.0048 3.0055 4.7913
Al 1.9455 0.0000 0.0000
Al 1.9455 3.3694 0.0000
Al 1.9509 3.7333 2.7174
Al 1.9509 6.3749 2.7174
Al 1.9561 1.6847 6.4129
Cu 0.0079 5.0541 3.5579
Cu 1.9478 1.6847 3.9508
```

Most intense lines, 2θ = 10–80°, low angle first:
2θ 17.7, intensity 87; 2θ 23.6, intensity 46; 2θ 26.5, intensity 44; 2θ 32.0, intensity 84; 2θ 35.8, intensity 100; 2θ 37.8, intensity 39; 2θ 38.4, intensity 39; 2θ 40.2, intensity 45; 2θ 46.7, intensity 35; 2θ 50.3, intensity 41

=====

2.
Structure and computed PXRD pattern of HfAlCuS4 (the GGA-PBE geometry in Alexandria; CuKα).
Lines closer than 0.1° are merged.

Structural model:
```
14
Lattice="-3.5839 3.6144 5.1564 3.5839 -3.6144 5.1564 3.5839 3.6144 -5.1564" Properties=species:S:1:pos:R:3 pbc="T T T"
Hf 0.0000 0.0000 0.0000
Hf 0.0000 3.6144 0.0000
Al -1.7919 1.8072 2.5782
Al 1.7919 1.8072 2.5782
Cu 3.5839 1.8072 -1.3761
Cu 0.0000 1.8072 6.5324
S 1.7775 1.8072 0.0673
S 1.8064 -1.8072 5.2236
S 0.0000 0.1598 2.5546
S 3.5839 0.1598 2.6017
S 0.0000 3.4546 2.5546
S 3.5839 3.4546 2.6017
S 1.7775 5.4216 -0.0673
S 1.8064 1.8072 5.0891
```

Most intense lines, 2θ = 10–80°, low angle first:
2θ 15.1, intensity 82; 2θ 17.2, intensity 34; 2θ 24.8, intensity 35; 2θ 28.8, intensity 59; 2θ 29.0, intensity 100; 2θ 34.8, intensity 22; 2θ 35.3, intensity 42; 2θ 39.5, intensity 22; 2θ 46.4, intensity 28; 2θ 50.4, intensity 67

=====

3.
Structure and computed PXRD pattern of HfAl2ZnCu4 (the GGA-PBE geometry in Alexandria; CuKα).
Lines closer than 0.1° are merged.

Structural model:
```
8
Lattice="2.0933 1.2086 7.5335 -2.0933 1.2086 7.5335 0.0000 -2.4171 7.5335" Properties=species:S:1:pos:R:3 pbc="T T T"
Hf 0.0000 0.0000 0.0000
Al 0.0000 0.0000 5.6587
Al 0.0000 0.0000 16.9419
Zn 0.0000 0.0000 11.3003
Cu 0.0000 0.0000 2.8728
Cu 0.0000 0.0000 8.8043
Cu 0.0000 0.0000 13.7963
Cu 0.0000 0.0000 19.7278
```

Most intense lines, 2θ = 10–80°, low angle first:
2θ 25.8, intensity 51; 2θ 31.6, intensity 14; 2θ 37.3, intensity 16; 2θ 40.5, intensity 100; 2θ 43.2, intensity 94; 2θ 47.4, intensity 18; 2θ 60.7, intensity 29; 2θ 71.7, intensity 12; 2θ 77.4, intensity 28; 2θ 79.3, intensity 15

=====

4.
Structure and computed PXRD pattern of Ho2Al2Cu15 (the GGA-PBE geometry in Alexandria; CuKα).
Lines closer than 0.1° are merged.

Structural model:
```
19
Lattice="4.2722 2.4666 4.2322 -4.2722 2.4666 4.2322 0.0000 -4.9331 4.2322" Properties=species:S:1:pos:R:3 pbc="T T T"
Ho 0.0000 0.0000 1.9006
Ho 0.0000 0.0000 10.7961
Al 0.0000 0.0000 5.0282
Al 0.0000 0.0000 7.6685
Cu -2.1361 -1.2333 4.2322
Cu 0.0000 -2.4718 4.0408
Cu -2.1406 1.2359 4.0408
Cu -1.2717 -2.2026 6.3483
Cu -2.5433 0.0000 6.3483
Cu -2.1406 -1.2359 8.6559
Cu -2.1361 1.2333 8.4645
Cu 1.2717 -2.2026 6.3483
Cu 0.0000 2.4666 4.2322
Cu -1.2717 2.2026 6.3483
Cu 2.1406 1.2359 4.0408
Cu 2.5433 0.0000 6.3483
Cu 1.2717 2.2026 6.3483
Cu 2.1406 -1.2359 8.6559
Cu 0.0000 2.4718 8.6559
```

Most intense lines, 2θ = 10–80°, low angle first:
2θ 29.7, intensity 32; 2θ 36.4, intensity 30; 2θ 37.3, intensity 27; 2θ 42.3, intensity 48; 2θ 42.4, intensity 100; 2θ 42.7, intensity 33; 2θ 47.7, intensity 23; 2θ 61.7, intensity 16; 2θ 69.7, intensity 16; 2θ 78.0, intensity 17

=====

5.
Structure and computed PXRD pattern of HoAl4Cu2 (the GGA-PBE geometry in Alexandria; CuKα).
Lines closer than 0.1° are merged.

Structural model:
```
7
Lattice="2.0139 -7.4790 0.0000 2.0139 7.4790 0.0000 0.0000 0.0000 3.9402" Properties=species:S:1:pos:R:3 pbc="T T T"
Ho 0.0000 0.0000 0.0000
Al 2.0139 4.8019 1.9701
Al 2.0139 2.7265 0.0000
Al 2.0139 -2.7265 0.0000
Al 2.0139 -4.8019 1.9701
Cu 2.0139 1.2041 1.9701
Cu 2.0139 -1.2041 1.9701
```

Most intense lines, 2θ = 10–80°, low angle first:
2θ 11.8, intensity 100; 2θ 28.5, intensity 24; 2θ 32.3, intensity 84; 2θ 33.0, intensity 36; 2θ 36.6, intensity 80; 2θ 37.4, intensity 37; 2θ 42.9, intensity 30; 2θ 45.0, intensity 25; 2θ 46.1, intensity 23; 2θ 48.2, intensity 21

=====

6.
Structure and computed PXRD pattern of HoAlCu2 (the GGA-PBE geometry in Alexandria; CuKα).
Lines closer than 0.1° are merged.

Structural model:
```
16
Lattice="7.4465 0.0000 0.0000 0.0000 6.6082 0.0000 0.0000 0.0000 5.6602" Properties=species:S:1:pos:R:3 pbc="T T T"
Ho 0.3042 1.6520 0.8945
Ho 3.4191 4.9561 3.7246
Ho 4.0274 1.6520 1.9355
Ho 7.1423 4.9561 4.7656
Al 0.8733 4.9561 1.9310
Al 2.8499 1.6520 4.7611
Al 4.5966 4.9561 0.8991
Al 6.5731 1.6520 3.7292
Cu 1.3065 0.3684 3.3231
Cu 1.3065 2.9357 3.3231
Cu 2.4168 3.6724 0.4930
Cu 2.4168 6.2398 0.4930
Cu 5.0297 0.3684 5.1672
Cu 5.0297 2.9357 5.1672
Cu 6.1400 3.6724 2.3371
Cu 6.1400 6.2398 2.3371
```

Most intense lines, 2θ = 10–80°, low angle first:
2θ 20.7, intensity 49; 2θ 31.8, intensity 76; 2θ 33.6, intensity 51; 2θ 33.9, intensity 32; 2θ 36.4, intensity 66; 2θ 36.6, intensity 100; 2θ 39.6, intensity 44; 2θ 39.8, intensity 43; 2θ 42.0, intensity 29; 2θ 44.1, intensity 28

=====

7.
Structure and computed PXRD pattern of Ho4Al12Cu (the GGA-PBE geometry in Alexandria; CuKα).
Lines closer than 0.1° are merged.

Structural model:
```
17
Lattice="-4.3059 4.3059 4.3059 4.3059 -4.3059 4.3059 4.3059 4.3059 -4.3059" Properties=species:S:1:pos:R:3 pbc="T T T"
Ho 2.1530 2.1530 -2.1530
Ho 2.1530 -2.1530 2.1530
Ho -2.1530 2.1530 2.1530
Ho 2.1530 2.1530 2.1530
Al 2.5097 0.0000 0.0000
Al 6.1021 0.0000 0.0000
Al 4.3059 2.1530 0.0000
Al 4.3059 0.0000 2.1530
Al 0.0000 2.5097 0.0000
Al 0.0000 0.0000 2.5097
Al 2.1530 4.3059 0.0000
Al 2.1530 0.0000 4.3059
Al 0.0000 6.1021 0.0000
Al 0.0000 0.0000 6.1021
Al 0.0000 4.3059 2.1530
Al 0.0000 2.1530 4.3059
Cu 0.0000 0.0000 0.0000
```

Most intense lines, 2θ = 10–80°, low angle first:
2θ 20.6, intensity 64; 2θ 29.3, intensity 100; 2θ 36.1, intensity 77; 2θ 42.0, intensity 50; 2θ 47.2, intensity 34; 2θ 52.0, intensity 38; 2θ 60.8, intensity 32; 2θ 65.0, intensity 17; 2θ 69.0, intensity 20; 2θ 72.9, intensity 27

=====

8.
Structure and computed PXRD pattern of HoAl8Cu4 (the GGA-PBE geometry in Alexandria; CuKα).
Lines closer than 0.1° are merged.

Structural model:
```
13
Lattice="-4.4112 4.4112 2.5574 4.4112 -4.4112 2.5574 4.4112 4.4112 -2.5574" Properties=species:S:1:pos:R:3 pbc="T T T"
Ho 0.0000 0.0000 0.0000
Al 3.0669 0.0000 0.0000
Al 5.7556 0.0000 0.0000
Al 4.4112 2.4893 0.0000
Al 0.0000 3.0669 0.0000
Al 2.4893 4.4112 0.0000
Al 1.9219 0.0000 2.5574
Al 0.0000 5.7556 0.0000
Al 0.0000 1.9219 2.5574
Cu 2.2056 2.2056 -1.2787
Cu 2.2056 -2.2056 1.2787
Cu -2.2056 2.2056 1.2787
Cu 2.2056 2.2056 1.2787
```

Most intense lines, 2θ = 10–80°, low angle first:
2θ 14.2, intensity 25; 2θ 20.1, intensity 27; 2θ 28.6, intensity 63; 2θ 32.1, intensity 14; 2θ 35.2, intensity 24; 2θ 40.8, intensity 100; 2θ 40.9, intensity 38; 2θ 59.2, intensity 26; 2θ 67.1, intensity 13; 2θ 74.5, intensity 22

=====

9.
Structure and computed PXRD pattern of HoAl12Cu4 (the GGA-PBE geometry in Alexandria; CuKα).
Lines closer than 0.1° are merged.

Structural model:
```
17
Lattice="-4.2847 4.2847 4.2847 4.2847 -4.2847 4.2847 4.2847 4.2847 -4.2847" Properties=species:S:1:pos:R:3 pbc="T T T"
Ho 0.0000 0.0000 0.0000
Al 2.9210 0.0000 1.4063
Al 5.6484 0.0000 1.4063
Al 4.2847 2.8784 -1.3637
Al 1.4063 2.9210 0.0000
Al 2.8784 -1.3637 4.2847
Al 4.2847 2.8784 1.3637
Al 0.0000 1.4063 2.9210
Al 1.4063 5.6484 0.0000
Al 2.8784 1.3637 4.2847
Al 0.0000 1.4063 5.6484
Al -1.3637 4.2847 2.8784
Al 1.3637 4.2847 2.8784
Cu 2.1423 2.1423 -2.1423
Cu 2.1423 -2.1423 2.1423
Cu -2.1423 2.1423 2.1423
Cu 2.1423 2.1423 2.1423
```

Most intense lines, 2θ = 10–80°, low angle first:
2θ 14.6, intensity 63; 2θ 25.5, intensity 40; 2θ 29.5, intensity 100; 2θ 33.1, intensity 83; 2θ 39.3, intensity 73; 2θ 42.2, intensity 24; 2θ 47.4, intensity 15; 2θ 52.3, intensity 79; 2θ 54.6, intensity 37; 2θ 69.4, intensity 24

=====

10.
Structure and computed PXRD pattern of Ho5Al4Cu (the GGA-PBE geometry in Alexandria; CuKα).
Lines closer than 0.1° are merged.

Structural model:
```
10
Lattice="3.4343 0.0000 0.0000 0.0000 3.4343 0.0000 0.0000 0.0000 19.1542" Properties=species:S:1:pos:R:3 pbc="T T T"
Ho 0.0000 0.0000 0.0000
Ho 0.0000 0.0000 3.9195
Ho 0.0000 0.0000 7.8328
Ho 0.0000 0.0000 11.3215
Ho 0.0000 0.0000 15.2348
Al 1.7171 1.7171 1.9632
Al 1.7171 1.7171 5.8907
Al 1.7171 1.7171 13.2635
Al 1.7171 1.7171 17.1911
Cu 1.7171 1.7171 9.5771
```

Most intense lines, 2θ = 10–80°, low angle first:
2θ 23.2, intensity 29; 2θ 25.9, intensity 46; 2θ 35.1, intensity 100; 2θ 37.0, intensity 45; 2θ 44.2, intensity 22; 2θ 53.4, intensity 16; 2θ 54.9, intensity 10; 2θ 61.7, intensity 17; 2θ 65.5, intensity 32; 2θ 74.2, intensity 10

=====

11.
Structure and computed PXRD pattern of HoAl6Cu6 (the GGA-PBE geometry in Alexandria; CuKα).
Lines closer than 0.1° are merged.

Structural model:
```
13
Lattice="-2.5483 4.2855 4.3491 2.5483 -4.2855 4.3491 2.5483 4.2855 -4.3491" Properties=species:S:1:pos:R:3 pbc="T T T"
Ho 0.0000 0.0000 0.0000
Al 2.5483 0.0000 1.7416
Al 0.0000 2.9683 0.0000
Al 0.0000 0.0000 3.0307
Al 0.0000 0.0000 5.6674
Al 0.0000 5.6027 0.0000
Al 0.0000 4.2855 2.6075
Cu 1.2742 2.1427 -2.1745
Cu 1.2742 -2.1427 2.1745
Cu 2.5483 1.9771 0.0000
Cu -1.2742 2.1427 2.1745
Cu 1.2742 2.1427 2.1745
Cu 0.0000 2.3084 4.3491
```

Most intense lines, 2θ = 10–80°, low angle first:
2θ 14.5, intensity 49; 2θ 29.1, intensity 60; 2θ 29.3, intensity 28; 2θ 41.1, intensity 73; 2θ 41.2, intensity 34; 2θ 41.6, intensity 100; 2θ 41.8, intensity 36; 2θ 42.2, intensity 41; 2θ 46.4, intensity 33; 2θ 60.3, intensity 36

=====

12.
Structure and computed PXRD pattern of Ho2Al4CuPd3 (the GGA-PBE geometry in Alexandria; CuKα).
Lines closer than 0.1° are merged.

Structural model:
```
10
Lattice="4.1133 0.0000 0.0000 0.0000 4.1133 0.0000 0.0000 0.0000 10.8343" Properties=species:S:1:pos:R:3 pbc="T T T"
Ho 0.0000 2.0566 2.6930
Ho 2.0566 0.0000 8.1412
Al 0.0000 0.0000 0.0000
Al 0.0000 2.0566 6.8149
Al 2.0566 0.0000 4.0194
Al 2.0566 2.0566 0.0000
Cu 0.0000 0.0000 5.4171
Pd 0.0000 2.0566 9.3214
Pd 2.0566 0.0000 1.5129
Pd 2.0566 2.0566 5.4171
```

Most intense lines, 2θ = 10–80°, low angle first:
2θ 30.7, intensity 26; 2θ 31.9, intensity 19; 2θ 33.0, intensity 79; 2θ 35.0, intensity 100; 2θ 44.0, intensity 50; 2θ 47.4, intensity 39; 2θ 56.1, intensity 38; 2θ 64.0, intensity 16; 2θ 66.7, intensity 28; 2θ 75.1, intensity 21

=====

13.
Structure and computed PXRD pattern of Ho2Tm2Al4Cu (the GGA-PBE geometry in Alexandria; CuKα).
Lines closer than 0.1° are merged.

Structural model:
```
9
Lattice="-3.2179 3.2179 4.7996 3.2179 -3.2179 4.7996 3.2179 3.2179 -4.7996" Properties=species:S:1:pos:R:3 pbc="T T T"
Ho 0.0000 0.0000 2.1658
Ho 0.0000 0.0000 7.4333
Tm 3.2179 0.0000 2.3998
Tm 0.0000 3.2179 2.3998
Al 1.4942 1.4942 0.0000
Al 1.7237 -1.7237 4.7996
Al -1.7237 1.7237 4.7996
Al 1.7237 1.7237 4.7996
Cu 0.0000 0.0000 4.7996
```

Most intense lines, 2θ = 10–80°, low angle first:
2θ 18.5, intensity 49; 2θ 27.7, intensity 68; 2θ 33.5, intensity 100; 2θ 37.5, intensity 24; 2θ 39.6, intensity 47; 2θ 44.0, intensity 23; 2θ 47.2, intensity 27; 2θ 55.7, intensity 30; 2θ 57.3, intensity 16; 2θ 68.0, intensity 25